Entry 1:
Simulated powder X-ray diffraction pattern
Compound: CaCeMg6
Radiation: Cu Kα (weighted mean of Kα1 and Kα2)
Structure: a crystal structure in the Materials Project, relaxed with GGA-PBE
No peak broadening, texture or thermal motion is included.

Peak list (10 most intense, 2θ = 15–90°, in order of rising 2θ)
index, 2θ (°), I_rel
0 1 1, 15.2, 58
0 0 2, 15.8, 18
1 1 1, 22.6, 39
1 0 2, 23.0, 27
0 2 2, 30.7, 22
1 1 3, 32.0, 22
2 0 0, 33.6, 34
1 2 2, 35.1, 100
1 0 4, 36.1, 35
3 2 2, 61.1, 19

Cell and atoms:
```
16
Lattice="5.3331 0.0000 0.0000 0.0000 6.7959 0.0000 0.0000 0.0000 11.2503" Properties=species:S:1:pos:R:3 pbc="T T T"
Ca 0.0000 0.0000 0.0000
Ca 0.0000 3.3980 5.6252
Ce 2.6665 0.0000 9.1326
Ce 2.6665 3.3980 3.5074
Mg 0.0000 0.0000 5.5519
Mg 0.0000 1.6939 2.7182
Mg 0.0000 1.7041 8.3433
Mg 0.0000 3.3980 11.1770
Mg 0.0000 5.0919 8.3433
Mg 0.0000 5.1021 2.7182
Mg 2.6665 0.0000 3.5679
Mg 2.6665 1.6955 0.8369
Mg 2.6665 1.7025 6.4620
Mg 2.6665 3.3980 9.1930
Mg 2.6665 5.0935 6.4620
Mg 2.6665 5.1004 0.8369
```

***

Entry 2:
Simulated powder X-ray diffraction pattern
Compound: CaCeMg6
Radiation: Cu Kα (weighted mean of Kα1 and Kα2)
Structure: a crystal structure in the Materials Project, relaxed with GGA-PBE
No peak broadening, texture or thermal motion is included.

Peak list (10 most intense, 2θ = 15–90°, in order of rising 2θ)
index, 2θ (°), I_rel
0 0 2, 15.7, 24
1 0 0, 16.6, 24
1 1 1, 22.0, 25
1 0 2, 23.0, 26
0 2 2, 28.8, 24
0 0 4, 31.8, 18
1 2 2, 33.4, 100
2 0 0, 33.6, 29
1 0 4, 36.1, 27
3 2 2, 60.0, 18

Cell and atoms:
```
16
Lattice="5.3368 0.0000 0.0000 0.0000 7.4205 0.0000 0.0000 0.0000 11.2553" Properties=species:S:1:pos:R:3 pbc="T T T"
Ca 0.0000 0.0000 0.0000
Ca 0.0000 3.7103 5.6277
Ce 0.0000 0.0000 5.5543
Ce 0.0000 3.7103 11.1819
Mg 0.0000 1.7802 8.5274
Mg 0.0000 1.9301 2.8997
Mg 0.0000 5.4905 2.8997
Mg 0.0000 5.6403 8.5274
Mg 2.6684 0.0000 2.2407
Mg 2.6684 0.0000 7.7737
Mg 2.6684 1.8168 4.7648
Mg 2.6684 1.8935 10.3924
Mg 2.6684 3.7103 2.1460
Mg 2.6684 3.7103 7.8683
Mg 2.6684 5.5270 10.3924
Mg 2.6684 5.6038 4.7648
```